Record 1
ScVO4: calculated powder X-ray diffraction pattern (Cu Kα X-rays), based on a PBE+U-relaxed structure.
Peak positions follow from Bragg's law for the DFT cell and can differ from measured ones.

```
data_ScVO4
_chemical_formula_sum 'Sc4 V4 O16'
_space_group_name_H-M_alt 'I 41/a m d'
_space_group_IT_number 141
_cell_length_a 6.864
_cell_length_b 6.864
_cell_length_c 6.170
_cell_angle_alpha 90.00
_cell_angle_beta 90.00
_cell_angle_gamma 90.00
loop_
_space_group_symop_operation_xyz
'x,y,z'
'-x,-y,-z'
'-y+1/4,x+3/4,z+1/4'
'y+1/4,-x+3/4,-z+1/4'
'-x+1/2,-y,z+1/2'
'x+1/2,y,-z+1/2'
'y+1/4,-x+1/4,z+3/4'
'-y+1/4,x+1/4,-z+3/4'
'x,-y,-z'
'-x,y,z'
'-y+1/4,-x+1/4,-z+3/4'
'y+1/4,x+1/4,z+3/4'
'-x+1/2,y,-z+1/2'
'x+1/2,-y,z+1/2'
'y+1/4,x+3/4,-z+1/4'
'-y+1/4,-x+3/4,z+1/4'
'x+1/2,y+1/2,z+1/2'
'-x+1/2,-y+1/2,-z+1/2'
'-y+3/4,x+1/4,z+3/4'
'y+3/4,-x+1/4,-z+3/4'
'-x,-y+1/2,z'
'x,y+1/2,-z'
'y+3/4,-x+3/4,z+1/4'
'-y+3/4,x+3/4,-z+1/4'
'x+1/2,-y+1/2,-z+1/2'
'-x+1/2,y+1/2,z+1/2'
'-y+3/4,-x+3/4,-z+1/4'
'y+3/4,x+3/4,z+1/4'
'-x,y+1/2,-z'
'x,-y+1/2,z'
'y+3/4,x+1/4,-z+3/4'
'-y+3/4,-x+1/4,z+3/4'
loop_
_atom_site_label
_atom_site_fract_x
_atom_site_fract_y
_atom_site_fract_z
Sc1 0.000 0.250 0.375
V1 0.000 0.250 0.875
O1 0.000 0.057 0.695
```

Peak list (12 most intense, 15 to 90 degrees two-theta, in order of rising 2θ)
(hkl)  2θ (°)  I/Imax
2 0 0  26.0  100
2 1 1  32.6  11
1 1 2  34.4  55
2 2 0  37.0  7
2 0 2  39.3  11
3 1 2  51.5  54
4 0 0  53.4  18
4 2 0  60.3  9
3 3 2  65.1  18
2 0 4  66.5  9
2 2 4  72.6  8
5 3 2  89.0  8

Record 2
Sc2VO5: calculated powder X-ray diffraction pattern (Cu Kα X-rays), based on a PBE+U-relaxed structure.
Peak positions follow from Bragg's law for the DFT cell and can differ from measured ones.

```
data_Sc2VO5
_chemical_formula_sum 'Sc20 V10 O50'
_space_group_name_H-M_alt 'I -4'
_space_group_IT_number 82
_cell_length_a 7.866
_cell_length_b 7.866
_cell_length_c 14.759
_cell_angle_alpha 90.00
_cell_angle_beta 90.00
_cell_angle_gamma 90.00
loop_
_space_group_symop_operation_xyz
'x,y,z'
'y,-x,-z'
'-x,-y,z'
'-y,x,-z'
'x+1/2,y+1/2,z+1/2'
'y+1/2,-x+1/2,-z+1/2'
'-x+1/2,-y+1/2,z+1/2'
'-y+1/2,x+1/2,-z+1/2'
loop_
_atom_site_label
_atom_site_fract_x
_atom_site_fract_y
_atom_site_fract_z
Sc1 0.000 0.000 0.188
Sc2 0.046 0.296 0.992
Sc3 0.131 0.323 0.326
V1 0.000 0.000 0.500
V2 0.100 0.292 0.666
O1 0.000 0.500 0.076
O2 0.000 0.500 0.250
O3 0.000 0.500 0.612
O4 0.076 0.836 0.570
O5 0.081 0.809 0.277
O6 0.094 0.752 0.747
O7 0.110 0.838 0.092
O8 0.188 0.763 0.923
```

Peak list (12 most intense, 15 to 90 degrees two-theta, in order of rising 2θ)
(hkl)  2θ (°)  I/Imax
1 2 1  26.0  10
2 1 3  31.3  100
1 3 0  36.1  7
0 0 6  36.5  3
2 2 4  40.6  4
3 1 4  43.9  5
3 0 5  46.3  3
4 2 0  52.0  15
1 3 6  52.3  34
3 4 3  61.9  15
2 1 9  62.5  9
5 0 9  85.5  5